(1)
Starting from a PBE-relaxed structure, the powder X-ray diffraction pattern of Cs2GaI7 was computed for Cu Ka.
Lines closer than 0.1° are merged.

Main lines, in order of falling intensity (2θ = 10–90°):
d [Å]  I/Imax
3.563  100
3.043  76
2.198  54
3.176  40
1.842  28
1.782  27

Structure:
a = 8.7983 Å, b = 8.7983 Å, c = 8.7983 Å
α = 121.42°, β = 121.42°, γ = 87.55°
Positions (direct):
Cs (0.2500, 0.7500, 0.5000)
Cs (0.7500, 0.2500, 0.5000)
Ga (0.0000, 0.0000, 0.0000)
I (0.2226, 0.2226, 0.0000)
I (0.2345, 0.2345, 0.4690)
I (0.2345, 0.7655, 0.0000)
I (0.5000, 0.5000, 0.0000)
I (0.7655, 0.2345, 0.0000)
I (0.7655, 0.7655, 0.5310)
I (0.7774, 0.7774, 0.0000)



(2)
Starting from a PBE-relaxed structure, the powder X-ray diffraction pattern of Cs2Ga3I9 was computed for Cu Ka.
Lines closer than 0.1° are merged.

Main lines, in order of falling intensity (2θ = 10–90°):
d [Å]  I/Imax
3.512  100
3.244  79
3.923  69
3.672  61
4.230  57
3.294  49

Structure:
a = 13.3171 Å, b = 13.3171 Å, c = 11.6172 Å
α = 98.51°, β = 98.51°, γ = 124.38°
Positions (direct):
Cs (0.0877, 0.7199, 0.7142)
Cs (0.2801, 0.9123, 0.2858)
Cs (0.7199, 0.0877, 0.7142)
Cs (0.9123, 0.2801, 0.2858)
Ga (0.1908, 0.4242, 0.8644)
Ga (0.3040, 0.3040, 0.2905)
Ga (0.4242, 0.1908, 0.8644)
Ga (0.5758, 0.8092, 0.1356)
Ga (0.6960, 0.6960, 0.7095)
Ga (0.8092, 0.5758, 0.1356)
I (0.0145, 0.2985, 0.9810)
I (0.0364, 0.3965, 0.6494)
I (0.0955, 0.0955, 0.2598)
I (0.2985, 0.0145, 0.9810)
I (0.3156, 0.6844, 0.0000)
I (0.3176, 0.5002, 0.3100)
I (0.3279, 0.3279, 0.8496)
I (0.3965, 0.0364, 0.6494)
I (0.5002, 0.3176, 0.3100)
I (0.4998, 0.6824, 0.6900)
I (0.6035, 0.9636, 0.3506)
I (0.6721, 0.6721, 0.1504)
I (0.6824, 0.4998, 0.6900)
I (0.6844, 0.3156, 0.0000)
I (0.7015, 0.9855, 0.0190)
I (0.9045, 0.9045, 0.7402)
I (0.9636, 0.6035, 0.3506)
I (0.9855, 0.7015, 0.0190)



(3)
Starting from a PBE-relaxed structure, the powder X-ray diffraction pattern of Cs2Ga3I5 was computed for Cu Ka.
Lines closer than 0.1° are merged.

Main lines, in order of falling intensity (2θ = 10–90°):
d [Å]  I/Imax
4.390  100
2.268  44
3.581  43
3.335  37
2.591  37
2.334  36

Structure:
a = 13.4473 Å, b = 13.4473 Å, c = 13.4473 Å
α = 137.11°, β = 59.67°, γ = 140.56°
Positions (direct):
Cs (0.1912, 0.1835, 0.3747)
Cs (0.3088, 0.6835, 0.9923)
Cs (0.6912, 0.3165, 0.0077)
Cs (0.8088, 0.8165, 0.6253)
Ga (0.0939, 0.5609, 0.6548)
Ga (0.2500, 0.2500, 0.0000)
Ga (0.4061, 0.0609, 0.4669)
Ga (0.5939, 0.9391, 0.5331)
Ga (0.7500, 0.7500, 0.0000)
Ga (0.9061, 0.4391, 0.3452)
I (0.0490, 0.7500, 0.2990)
I (0.0858, 0.8762, 0.9620)
I (0.2500, 0.7500, 0.5000)
I (0.4142, 0.3762, 0.7904)
I (0.4510, 0.7500, 0.7010)
I (0.5490, 0.2500, 0.2990)
I (0.5858, 0.6238, 0.2096)
I (0.7500, 0.2500, 0.5000)
I (0.9142, 0.1238, 0.0380)
I (0.9510, 0.2500, 0.7010)